# 1
Simulated PXRD pattern
Compound: BaTiSi3O9
Radiation: CuKα
Structure: a DFT-relaxed cell (PBE, Alexandria)
Kinematic intensities with the Lorentz-polarization factor, no thermal factor.

Structural model:
Cell lengths 6.7238, 6.7238, 9.8990 Å; angles 90.00, 90.00, 120.00 degrees
Space group P-6c2 (No. 188)
Unique sites:
Ba  0.0000  0.0000  0.0000 x2
Ti  0.6667  0.3333  0.0000 x2
Si  0.0446  0.4488  0.2500 x6
O  0.1406  0.4122  0.7500 x6
O  0.4216  0.0965  0.1131 x12

Peak list (10 most intense, 2θ from 10° to 80°, most intense first)
23.6°, d = 3.771 Å, rel. 100, (1 0 2)
32.2°, d = 2.781 Å, rel. 82, (1 1 2)
30.7°, d = 2.911 Å, rel. 29, (2 0 0)
15.2°, d = 5.823 Å, rel. 25, (1 0 0)
41.0°, d = 2.201 Å, rel. 19, (2 1 0)
45.5°, d = 1.993 Å, rel. 18, (1 1 4)
48.3°, d = 1.886 Å, rel. 17, (2 0 4)
26.5°, d = 3.362 Å, rel. 16, (1 1 0)
50.5°, d = 1.807 Å, rel. 15, (3 0 2)
45.1°, d = 2.011 Å, rel. 14, (2 1 2)

=====

# 2
Simulated PXRD pattern
Compound: Ba3YSi2O8
Radiation: CuKα
Structure: a DFT-relaxed cell (PBE, Alexandria)
Kinematic intensities with the Lorentz-polarization factor, no thermal factor.

Structural model:
Cell lengths 5.7715, 5.7715, 7.7388 Å; angles 90.00, 90.00, 120.00 degrees
Space group P-3m1 (No. 164)
Unique sites:
Ba  0.0000  0.0000  0.0000 x1
Ba  0.3333  0.6667  0.6880 x2
Y  0.0000  0.0000  0.5000 x1
Si  0.3333  0.6667  0.2267 x2
O  0.1781  0.3561  0.3069 x6
O  0.3333  0.6667  0.0182 x2

Peak list (10 most intense, 2θ from 10° to 80°, most intense first)
29.2°, d = 3.060 Å, rel. 100, (0 1 2)
31.0°, d = 2.886 Å, rel. 99, (1 1 0)
43.1°, d = 2.099 Å, rel. 49, (2 0 2)
54.0°, d = 1.698 Å, rel. 34, (1 2 2)
21.2°, d = 4.199 Å, rel. 32, (1 0 1)
37.8°, d = 2.378 Å, rel. 25, (0 2 1)
55.1°, d = 1.666 Å, rel. 19, (3 0 0)
64.6°, d = 1.443 Å, rel. 16, (2 2 0)
72.4°, d = 1.305 Å, rel. 15, (3 1 2)
47.3°, d = 1.923 Å, rel. 14, (1 1 3)

=====

# 3
Simulated PXRD pattern
Compound: BaZn2Si2O7
Radiation: CuKα
Structure: a DFT-relaxed cell (PBE, Alexandria)
Kinematic intensities with the Lorentz-polarization factor, no thermal factor.

Structural model:
Cell lengths 13.0957, 7.9978, 6.6987 Å; angles 90.00, 90.00, 90.00 degrees
Space group Cmcm (No. 63)
Unique sites:
Ba  0.0000  0.2290  0.2500 x4
Zn  0.2242  0.5000  0.0000 x8
Si  0.1186  0.2054  0.7500 x8
O  0.0000  0.1196  0.7500 x4
O  0.1307  0.3107  0.5444 x16
O  0.1930  0.0369  0.7500 x8

Peak list (10 most intense, 2θ from 10° to 80°, most intense first)
26.1°, d = 3.413 Å, rel. 100, (2 2 0)
26.8°, d = 3.326 Å, rel. 70, (3 1 1)
30.0°, d = 2.982 Å, rel. 61, (2 0 2)
34.9°, d = 2.568 Å, rel. 35, (0 2 2)
44.9°, d = 2.020 Å, rel. 29, (4 2 2)
38.6°, d = 2.333 Å, rel. 24, (5 1 1)
45.4°, d = 1.999 Å, rel. 21, (0 4 0)
55.3°, d = 1.661 Å, rel. 21, (2 4 2)
18.6°, d = 4.781 Å, rel. 19, (1 1 1)
61.7°, d = 1.503 Å, rel. 19, (2 2 4)

=====

# 4
Simulated PXRD pattern
Compound: Ba2SmO4
Radiation: CuKα
Structure: a DFT-relaxed cell (PBE, Alexandria)
Kinematic intensities with the Lorentz-polarization factor, no thermal factor.

Structural model:
Cell lengths 6.5224, 11.0875, 3.7597 Å; angles 90.00, 90.00, 90.00 degrees
Space group Pbam (No. 55)
Unique sites:
Ba  0.0597  0.1764  0.0000 x4
Sm  0.0000  0.5000  0.5000 x2
O  0.1411  0.6907  0.5000 x4
O  0.2198  0.4570  0.0000 x4

Peak list (10 most intense, 2θ from 10° to 80°, most intense first)
28.6°, d = 3.126 Å, rel. 100, (1 1 1)
27.7°, d = 3.216 Å, rel. 99, (1 3 0)
40.1°, d = 2.251 Å, rel. 46, (2 2 1)
28.7°, d = 3.112 Å, rel. 41, (0 2 1)
49.7°, d = 1.833 Å, rel. 35, (1 5 1)
27.3°, d = 3.261 Å, rel. 33, (2 0 0)
56.7°, d = 1.623 Å, rel. 27, (1 3 2)
37.4°, d = 2.405 Å, rel. 24, (2 1 1)
48.4°, d = 1.880 Å, rel. 17, (0 0 2)
49.5°, d = 1.841 Å, rel. 13, (2 4 1)

=====

# 5
Simulated PXRD pattern
Compound: Ba3Sm4O9
Radiation: CuKα
Structure: a DFT-relaxed cell (PBE, Alexandria)
Kinematic intensities with the Lorentz-polarization factor, no thermal factor.

Structural model:
Cell lengths 6.2682, 6.2682, 26.3444 Å; angles 90.00, 90.00, 120.00 degrees
Space group R3 (No. 146, hexagonal axes)
Unique sites:
Ba  0.0000  0.0000  0.0000 x3
Ba  0.0000  0.0000  0.1687 x3
Ba  0.0000  0.0000  0.5744 x3
Sm  0.0000  0.0000  0.3031 x3
Sm  0.0000  0.0000  0.4289 x3
Sm  0.0000  0.0000  0.7402 x3
Sm  0.0000  0.0000  0.8671 x3
O  0.0184  0.5939  0.0309 x9
O  0.0891  0.3357  0.9182 x9
O  0.0987  0.7536  0.4760 x9

Peak list (10 most intense, 2θ from 10° to 80°, most intense first)
28.5°, d = 3.134 Å, rel. 100, (1 1 0)
28.9°, d = 3.093 Å, rel. 81, (1 0 7)
41.0°, d = 2.201 Å, rel. 41, (0 2 7)
50.7°, d = 1.801 Å, rel. 36, (3 -1 7)
50.4°, d = 1.809 Å, rel. 25, (3 0 0)
42.2°, d = 2.139 Å, rel. 20, (2 -1 9)
67.0°, d = 1.398 Å, rel. 17, (1 3 7)
58.9°, d = 1.567 Å, rel. 15, (2 2 0)
17.7°, d = 5.019 Å, rel. 10, (0 1 2)
51.4°, d = 1.778 Å, rel. 8, (0 1 14)

=====

# 6
Simulated PXRD pattern
Compound: BaTb4SmO12
Radiation: CuKα
Structure: a DFT-relaxed cell (PBE, Alexandria)
Kinematic intensities with the Lorentz-polarization factor, no thermal factor.

Structural model:
Cell lengths 8.7853, 9.0642, 8.4758 Å; angles 90.00, 90.00, 90.00 degrees
Space group Amm2 (No. 38)
Unique sites:
Ba  0.0000  0.0000  0.0000 x2
Tb  0.2638  0.2262  0.6741 x8
Sm  0.5000  0.0000  0.3656 x2
O  0.0000  0.2153  0.7220 x4
O  0.2048  0.2044  0.9265 x8
O  0.2569  0.0000  0.2099 x4
O  0.3358  0.0000  0.5854 x4
O  0.5000  0.2116  0.2299 x4

Peak list (10 most intense, 2θ from 10° to 80°, most intense first)
28.3°, d = 3.154 Å, rel. 100, (2 2 0)
28.8°, d = 3.095 Å, rel. 79, (0 2 2)
17.5°, d = 5.061 Å, rel. 76, (1 1 1)
29.3°, d = 3.050 Å, rel. 75, (2 0 2)
21.0°, d = 4.238 Å, rel. 36, (0 0 2)
51.0°, d = 1.791 Å, rel. 35, (4 2 2)
50.2°, d = 1.819 Å, rel. 30, (2 4 2)
41.1°, d = 2.196 Å, rel. 27, (4 0 0)
39.8°, d = 2.266 Å, rel. 27, (0 4 0)
19.6°, d = 4.532 Å, rel. 26, (0 2 0)

=====

# 7
Simulated PXRD pattern
Compound: BaSm2Ti3O10
Radiation: CuKα
Structure: a DFT-relaxed cell (PBE, Alexandria)
Kinematic intensities with the Lorentz-polarization factor, no thermal factor.

Structural model:
Cell lengths 3.9106, 28.3666, 7.6693 Å; angles 90.00, 90.00, 90.00 degrees
Space group Cmcm (No. 63)
Unique sites:
Ba  0.0000  0.2438  0.2500 x4
Sm  0.0000  0.0728  0.2500 x4
Sm  0.0000  0.0804  0.7500 x4
Ti  0.0000  0.3549  0.5050 x8
Ti  0.0000  0.5000  0.0000 x4
O  0.0000  0.0000  0.0000 x4
O  0.0000  0.1289  0.0075 x8
O  0.0000  0.2935  0.5488 x8
O  0.0000  0.3524  0.2500 x4
O  0.0000  0.3789  0.7500 x4
O  0.0000  0.4339  0.0623 x8
O  0.0000  0.4804  0.7500 x4

Peak list (10 most intense, 2θ from 10° to 80°, most intense first)
30.0°, d = 2.977 Å, rel. 100, (0 6 2)
32.9°, d = 2.725 Å, rel. 55, (1 1 2)
31.8°, d = 2.814 Å, rel. 43, (1 7 0)
18.8°, d = 4.728 Å, rel. 39, (0 6 0)
39.7°, d = 2.269 Å, rel. 29, (1 7 2)
56.3°, d = 1.635 Å, rel. 28, (2 6 2)
53.7°, d = 1.706 Å, rel. 27, (1 13 2)
46.4°, d = 1.955 Å, rel. 25, (2 0 0)
27.7°, d = 3.220 Å, rel. 25, (1 5 0)
47.4°, d = 1.917 Å, rel. 20, (0 0 4)

=====

# 8
Simulated PXRD pattern
Compound: BaSmTl4O8
Radiation: CuKα
Structure: a DFT-relaxed cell (PBE, Alexandria)
Kinematic intensities with the Lorentz-polarization factor, no thermal factor.

Structural model:
Cell lengths 7.0931, 7.0931, 17.3415 Å; angles 90.00, 90.00, 120.00 degrees
Space group R3m (No. 160, hexagonal axes)
Unique sites:
Ba  0.0000  0.0000  0.0000 x3
Sm  0.0000  0.0000  0.6217 x3
Tl  0.0000  0.0000  0.2462 x3
Tl  0.1687  0.3374  0.4548 x9
O  0.0000  0.0000  0.3872 x3
O  0.0000  0.0000  0.8524 x3
O  0.0525  0.5263  0.3779 x9
O  0.1795  0.3590  0.2003 x9

Peak list (10 most intense, 2θ from 10° to 80°, most intense first)
29.6°, d = 3.023 Å, rel. 100, (0 2 1)
51.6°, d = 1.772 Å, rel. 41, (2 2 0)
47.1°, d = 1.929 Å, rel. 41, (0 2 7)
30.9°, d = 2.894 Å, rel. 31, (2 0 2)
25.1°, d = 3.544 Å, rel. 24, (1 0 4)
72.4°, d = 1.305 Å, rel. 18, (4 0 7)
61.3°, d = 1.511 Å, rel. 16, (0 2 10)
15.3°, d = 5.785 Å, rel. 13, (0 0 3)
35.8°, d = 2.506 Å, rel. 12, (0 2 4)
60.5°, d = 1.529 Å, rel. 11, (4 0 1)